Diffraction record for LaMg2Re. The X-ray diffraction stick pattern is theoretical, not measured: it uses a cell relaxed with PBE and copper Kα.

Unit cell a=3.494 b=3.494 c=7.625 alpha=90.00 beta=90.00 gamma=90.00
Sites, in units of the cell vectors:
La: 0.000 0.000 0.000
Mg: 0.000 0.000 0.593
Mg: 0.500 0.500 0.368
Re: 0.500 0.500 0.764

Largest 10 diffraction maxima, low angle first, 2θ = 10–80°:
2θ (°), d/Å, Rel. int., (hkl)
11.6, 7.625, 100.0, 0 0 1
28.1, 3.176, 42.6, 1 0 1
34.8, 2.576, 78.5, 1 0 2
36.4, 2.471, 41.8, 1 1 0
38.3, 2.350, 23.5, 1 1 1
44.1, 2.055, 27.0, 1 0 3
52.4, 1.747, 14.7, 2 0 0
61.4, 1.509, 10.5, 1 1 4
64.4, 1.446, 26.3, 2 1 2
70.8, 1.331, 13.2, 2 1 3